# 1
# ZnS
Computed X-ray diffraction stick pattern, Cu Kα X-rays. Input: a crystal structure in the Materials Project, relaxed with GGA-PBE.

The 10 most intense peaks (10° ≤ 2θ ≤ 90°), by intensity:
47.19 deg, intensity 100.0, (1 1 0)
28.61 deg, intensity 92.9, (1 0 5)
28.34 deg, intensity 82.2, (0 0 14)
55.96 deg, intensity 67.0, (1 1 14)
27.41 deg, intensity 46.3, (1 0 3)
47.75 deg, intensity 40.7, (1 0 19)
27.94 deg, intensity 39.1, (1 0 4)
30.32 deg, intensity 37.4, (1 0 7)
51.43 deg, intensity 26.6, (1 0 21)
55.27 deg, intensity 17.9, (1 0 23)

Structure:
Cell lengths 3.8522, 3.8522, 44.0851 Å; angles 90.00, 90.00, 120.00 degrees
Space group P3m1 (No. 156)
Asymmetric unit:
Zn  0.0000  0.0000  0.0000 x1
Zn  0.0000  0.0000  0.1429 x1
Zn  0.0000  0.0000  0.3571 x1
Zn  0.0000  0.0000  0.5714 x1
Zn  0.0000  0.0000  0.7143 x1
Zn  0.3333  0.6667  0.0714 x1
Zn  0.3333  0.6667  0.2857 x1
Zn  0.3333  0.6667  0.4286 x1
Zn  0.3333  0.6667  0.6429 x1
Zn  0.3333  0.6667  0.8571 x1
Zn  0.6667  0.3333  0.2143 x1
Zn  0.6667  0.3333  0.5000 x1
Zn  0.6667  0.3333  0.7857 x1
Zn  0.6667  0.3333  0.9286 x1
S  0.0000  0.0000  0.0535 x1
S  0.0000  0.0000  0.1964 x1
S  0.0000  0.0000  0.4108 x1
S  0.0000  0.0000  0.6250 x1
S  0.0000  0.0000  0.7678 x1
S  0.3333  0.6667  0.1250 x1
S  0.3333  0.6667  0.3392 x1
S  0.3333  0.6667  0.4821 x1
S  0.3333  0.6667  0.6965 x1
S  0.3333  0.6667  0.9108 x1
S  0.6667  0.3333  0.2678 x1
S  0.6667  0.3333  0.5536 x1
S  0.6667  0.3333  0.8392 x1
S  0.6667  0.3333  0.9821 x1

# 2
# ZnS
Computed X-ray diffraction stick pattern, Cu Kα X-rays. Input: a crystal structure in the Materials Project, relaxed with GGA-PBE.

The 10 most intense peaks (10° ≤ 2θ ≤ 90°), by intensity:
28.67 deg, intensity 100.0, (1 0 8)
47.18 deg, intensity 94.5, (1 1 0)
28.35 deg, intensity 77.6, (0 0 22)
27.83 deg, intensity 73.6, (1 0 6)
55.96 deg, intensity 64.5, (1 1 22)
47.91 deg, intensity 44.6, (1 0 30)
45.65 deg, intensity 25.4, (1 0 28)
32.36 deg, intensity 19.6, (1 0 14)
55.10 deg, intensity 19.1, (1 0 36)
88.30 deg, intensity 15.0, (2 1 30)

Structure:
Cell lengths 3.8529, 3.8529, 69.2619 Å; angles 90.00, 90.00, 120.00 degrees
Space group P3m1 (No. 156)
Asymmetric unit:
Zn  0.0000  0.0000  0.0000 x1
Zn  0.0000  0.0000  0.0909 x1
Zn  0.0000  0.0000  0.2273 x1
Zn  0.0000  0.0000  0.3637 x1
Zn  0.0000  0.0000  0.4546 x1
Zn  0.0000  0.0000  0.5909 x1
Zn  0.0000  0.0000  0.7273 x1
Zn  0.0000  0.0000  0.8637 x1
Zn  0.3333  0.6667  0.0455 x1
Zn  0.3333  0.6667  0.1818 x1
Zn  0.3333  0.6667  0.2728 x1
Zn  0.3333  0.6667  0.4091 x1
Zn  0.3333  0.6667  0.5455 x1
Zn  0.3333  0.6667  0.6818 x1
Zn  0.3333  0.6667  0.7728 x1
Zn  0.3333  0.6667  0.9091 x1
Zn  0.6667  0.3333  0.1364 x1
Zn  0.6667  0.3333  0.3182 x1
Zn  0.6667  0.3333  0.5000 x1
Zn  0.6667  0.3333  0.6364 x1
Zn  0.6667  0.3333  0.8182 x1
Zn  0.6667  0.3333  0.9546 x1
S  0.0000  0.0000  0.0341 x1
S  0.0000  0.0000  0.1250 x1
S  0.0000  0.0000  0.2614 x1
S  0.0000  0.0000  0.3977 x1
S  0.0000  0.0000  0.4887 x1
S  0.0000  0.0000  0.6250 x1
S  0.0000  0.0000  0.7614 x1
S  0.0000  0.0000  0.8978 x1
S  0.3333  0.6667  0.0795 x1
S  0.3333  0.6667  0.2159 x1
S  0.3333  0.6667  0.3068 x1
S  0.3333  0.6667  0.4432 x1
S  0.3333  0.6667  0.5796 x1
S  0.3333  0.6667  0.7159 x1
S  0.3333  0.6667  0.8068 x1
S  0.3333  0.6667  0.9432 x1
S  0.6667  0.3333  0.1705 x1
S  0.6667  0.3333  0.3523 x1
S  0.6667  0.3333  0.5341 x1
S  0.6667  0.3333  0.6705 x1
S  0.6667  0.3333  0.8523 x1
S  0.6667  0.3333  0.9887 x1

# 3
# ZnS
Computed X-ray diffraction stick pattern, Cu Kα X-rays. Input: a crystal structure in the Materials Project, relaxed with GGA-PBE.

The 10 most intense peaks (10° ≤ 2θ ≤ 90°), by intensity:
28.35 deg, intensity 100.0, (0 0 24)
47.16 deg, intensity 87.1, (1 1 0)
55.95 deg, intensity 58.3, (1 1 24)
28.79 deg, intensity 37.5, (0 1 9)
27.98 deg, intensity 35.0, (0 1 7)
27.65 deg, intensity 19.8, (1 0 6)
87.72 deg, intensity 19.1, (3 0 0)
48.19 deg, intensity 17.3, (0 1 33)
29.25 deg, intensity 14.5, (1 0 10)
46.11 deg, intensity 12.7, (0 1 31)

Structure:
Cell lengths 3.8536, 3.8536, 75.5729 Å; angles 90.00, 90.00, 120.00 degrees
Space group P3m1 (No. 156)
Asymmetric unit:
Zn  0.0000  0.0000  0.0000 x1
Zn  0.0000  0.0000  0.0834 x1
Zn  0.0000  0.0000  0.2083 x1
Zn  0.0000  0.0000  0.2917 x1
Zn  0.0000  0.0000  0.4167 x1
Zn  0.0000  0.0000  0.5833 x1
Zn  0.0000  0.0000  0.7500 x1
Zn  0.0000  0.0000  0.8750 x1
Zn  0.3333  0.6667  0.0417 x1
Zn  0.3333  0.6667  0.1667 x1
Zn  0.3333  0.6667  0.3333 x1
Zn  0.3333  0.6667  0.4583 x1
Zn  0.3333  0.6667  0.5417 x1
Zn  0.3333  0.6667  0.6667 x1
Zn  0.3333  0.6667  0.7917 x1
Zn  0.3333  0.6667  0.9167 x1
Zn  0.6667  0.3333  0.1250 x1
Zn  0.6667  0.3333  0.2500 x1
Zn  0.6667  0.3333  0.3750 x1
Zn  0.6667  0.3333  0.5000 x1
Zn  0.6667  0.3333  0.6250 x1
Zn  0.6667  0.3333  0.7084 x1
Zn  0.6667  0.3333  0.8333 x1
Zn  0.6667  0.3333  0.9583 x1
S  0.0000  0.0000  0.0312 x1
S  0.0000  0.0000  0.1146 x1
S  0.0000  0.0000  0.2396 x1
S  0.0000  0.0000  0.3229 x1
S  0.0000  0.0000  0.4479 x1
S  0.0000  0.0000  0.6146 x1
S  0.0000  0.0000  0.7812 x1
S  0.0000  0.0000  0.9062 x1
S  0.3333  0.6667  0.0729 x1
S  0.3333  0.6667  0.1979 x1
S  0.3333  0.6667  0.3646 x1
S  0.3333  0.6667  0.4896 x1
S  0.3333  0.6667  0.5729 x1
S  0.3333  0.6667  0.6979 x1
S  0.3333  0.6667  0.8229 x1
S  0.3333  0.6667  0.9479 x1
S  0.6667  0.3333  0.1562 x1
S  0.6667  0.3333  0.2813 x1
S  0.6667  0.3333  0.4062 x1
S  0.6667  0.3333  0.5313 x1
S  0.6667  0.3333  0.6562 x1
S  0.6667  0.3333  0.7396 x1
S  0.6667  0.3333  0.8646 x1
S  0.6667  0.3333  0.9896 x1

# 4
# ZnS
Computed X-ray diffraction stick pattern, Cu Kα X-rays. Input: a crystal structure in the Materials Project, relaxed with GGA-PBE.

The 10 most intense peaks (10° ≤ 2θ ≤ 90°), by intensity:
47.19 deg, intensity 100.0, (1 1 0)
28.32 deg, intensity 88.8, (0 0 15)
26.79 deg, intensity 86.9, (1 0 1)
29.87 deg, intensity 78.2, (1 0 7)
55.95 deg, intensity 65.8, (1 1 15)
30.78 deg, intensity 49.8, (0 1 8)
50.52 deg, intensity 49.5, (1 0 22)
52.27 deg, intensity 39.8, (0 1 23)
26.99 deg, intensity 23.9, (0 1 2)
40.79 deg, intensity 19.1, (1 0 16)

Structure:
Cell lengths 3.8518, 3.8518, 47.2816 Å; angles 90.00, 90.00, 120.00 degrees
Space group R3m (No. 160, hexagonal axes)
Asymmetric unit:
Zn  0.0000  0.0000  0.0000 x3
Zn  0.0000  0.0000  0.1334 x3
Zn  0.0000  0.0000  0.2667 x3
Zn  0.0000  0.0000  0.4000 x3
Zn  0.0000  0.0000  0.5334 x3
S  0.0000  0.0000  0.0500 x3
S  0.0000  0.0000  0.1833 x3
S  0.0000  0.0000  0.3166 x3
S  0.0000  0.0000  0.4500 x3
S  0.0000  0.0000  0.5834 x3

# 5
# ZnS
Computed X-ray diffraction stick pattern, Cu Kα X-rays. Input: a crystal structure in the Materials Project, relaxed with GGA-PBE.

The 10 most intense peaks (10° ≤ 2θ ≤ 90°), by intensity:
28.35 deg, intensity 100.0, (0 0 24)
47.17 deg, intensity 94.7, (1 1 0)
55.95 deg, intensity 63.4, (1 1 24)
27.99 deg, intensity 42.8, (1 0 7)
29.77 deg, intensity 27.6, (1 0 11)
27.66 deg, intensity 20.2, (1 0 6)
50.32 deg, intensity 16.9, (1 0 35)
30.90 deg, intensity 15.7, (0 1 13)
46.10 deg, intensity 15.5, (1 0 31)
27.14 deg, intensity 14.5, (1 0 4)

Structure:
Cell lengths 3.8527, 3.8527, 75.5959 Å; angles 90.00, 90.00, 120.00 degrees
Space group P3m1 (No. 156)
Asymmetric unit:
Zn  0.0000  0.0000  0.0000 x1
Zn  0.0000  0.0000  0.0833 x1
Zn  0.0000  0.0000  0.1667 x1
Zn  0.0000  0.0000  0.2917 x1
Zn  0.0000  0.0000  0.4583 x1
Zn  0.0000  0.0000  0.5833 x1
Zn  0.0000  0.0000  0.7500 x1
Zn  0.0000  0.0000  0.8334 x1
Zn  0.3333  0.6667  0.1250 x1
Zn  0.3333  0.6667  0.2500 x1
Zn  0.3333  0.6667  0.3333 x1
Zn  0.3333  0.6667  0.4167 x1
Zn  0.3333  0.6667  0.5000 x1
Zn  0.3333  0.6667  0.6250 x1
Zn  0.3333  0.6667  0.7084 x1
Zn  0.3333  0.6667  0.8750 x1
Zn  0.3333  0.6667  0.9584 x1
Zn  0.6667  0.3333  0.0417 x1
Zn  0.6667  0.3333  0.2083 x1
Zn  0.6667  0.3333  0.3750 x1
Zn  0.6667  0.3333  0.5417 x1
Zn  0.6667  0.3333  0.6667 x1
Zn  0.6667  0.3333  0.7917 x1
Zn  0.6667  0.3333  0.9167 x1
S  0.0000  0.0000  0.0312 x1
S  0.0000  0.0000  0.1146 x1
S  0.0000  0.0000  0.1979 x1
S  0.0000  0.0000  0.3229 x1
S  0.0000  0.0000  0.4896 x1
S  0.0000  0.0000  0.6146 x1
S  0.0000  0.0000  0.7812 x1
S  0.0000  0.0000  0.8646 x1
S  0.3333  0.6667  0.1563 x1
S  0.3333  0.6667  0.2812 x1
S  0.3333  0.6667  0.3646 x1
S  0.3333  0.6667  0.4479 x1
S  0.3333  0.6667  0.5312 x1
S  0.3333  0.6667  0.6562 x1
S  0.3333  0.6667  0.7396 x1
S  0.3333  0.6667  0.9062 x1
S  0.3333  0.6667  0.9896 x1
S  0.6667  0.3333  0.0729 x1
S  0.6667  0.3333  0.2396 x1
S  0.6667  0.3333  0.4063 x1
S  0.6667  0.3333  0.5729 x1
S  0.6667  0.3333  0.6979 x1
S  0.6667  0.3333  0.8229 x1
S  0.6667  0.3333  0.9479 x1